Simulated powder diffraction line list
Compound: PaZn2Au
Radiation: Cu Ka
Structure: a crystal structure in Alexandria, relaxed with PBE
Lines closer than 0.1° are merged.

Cell and atoms:
```
data_PaZn2Au
_chemical_formula_sum 'Pa4 Zn8 Au4'
_space_group_name_H-M_alt 'C m c m'
_space_group_IT_number 63
_space_group_name_Hall '-C 2c 2'
_cell_length_a 3.2094
_cell_length_b 20.7412
_cell_length_c 4.5969
_cell_angle_alpha 90.00
_cell_angle_beta 90.00
_cell_angle_gamma 90.00
loop_
_atom_site_label
_atom_site_type_symbol
_atom_site_fract_x
_atom_site_fract_y
_atom_site_fract_z
Pa1 Pa 0.0000 0.0962 0.2500
Zn1 Zn 0.0000 0.2670 0.7500
Zn2 Zn 0.0000 0.4701 0.2500
Au1 Au 0.0000 0.3392 0.2500
```

Principal peaks in the range 15° ≤ 2θ ≤ 90°, by angle:
hkl 0 4 0, 2θ 17.10, I = 38.7; hkl 0 4 1, 2θ 25.90, I = 50.5; hkl 1 1 1, 2θ 34.35, I = 55.6; hkl 1 5 0, 2θ 35.36, I = 61.8; hkl 1 3 1, 2θ 36.54, I = 100.0; hkl 0 0 2, 2θ 39.20, I = 55.2; hkl 0 8 1, 2θ 39.92, I = 96.0; hkl 1 5 2, 2θ 53.81, I = 37.6; hkl 2 0 0, 2θ 57.43, I = 18.1; hkl 1 13 1, 2θ 68.81, I = 18.1; hkl 2 0 2, 2θ 71.74, I = 18.7; hkl 2 8 1, 2θ 72.22, I = 33.7

Simulated powder diffraction line list
Compound: Ca2AlAsP
Radiation: Cu Ka
Structure: a crystal structure in Alexandria, relaxed with PBE
Lines closer than 0.1° are merged.

Cell and atoms:
```
data_Ca2AlAsP
_chemical_formula_sum 'Ca4 Al2 As2 P2'
_space_group_name_H-M_alt 'P 1 21/m 1'
_space_group_IT_number 11
_space_group_name_Hall '-P 2yb'
_cell_length_a 7.8749
_cell_length_b 3.7377
_cell_length_c 9.0049
_cell_angle_alpha 90.00
_cell_angle_beta 115.28
_cell_angle_gamma 90.00
loop_
_atom_site_label
_atom_site_type_symbol
_atom_site_fract_x
_atom_site_fract_y
_atom_site_fract_z
Ca1 Ca 0.1431 0.2500 0.4288
Ca2 Ca 0.2069 0.2500 0.9590
Al1 Al 0.4603 0.2500 0.3514
As1 As 0.2707 0.7500 0.7227
P1 P 0.2221 0.7500 0.2089
```

Principal peaks in the range 15° ≤ 2θ ≤ 90°, by angle:
hkl 2 0 0, 2θ 25.01, I = 61.1; hkl 0 1 1, 2θ 26.23, I = 37.8; hkl 1 1 -2, 2θ 31.26, I = 100.0; hkl 0 1 2, 2θ 32.52, I = 55.9; hkl 3 0 -2, 2θ 34.68, I = 20.6; hkl 1 1 2, 2θ 38.30, I = 55.7; hkl 2 0 -4, 2θ 40.58, I = 44.2; hkl 3 1 -2, 2θ 42.50, I = 51.3; hkl 3 1 0, 2θ 45.26, I = 16.4; hkl 0 2 0, 2θ 48.72, I = 27.7; hkl 2 2 -4, 2θ 65.21, I = 19.9; hkl 2 1 -6, 2θ 67.31, I = 18.4

Simulated powder diffraction line list
Compound: AcLa2N
Radiation: Cu Ka
Structure: a crystal structure in Alexandria, relaxed with PBE
Lines closer than 0.1° are merged.

Cell and atoms:
```
data_AcLa2N
_chemical_formula_sum 'Ac3 La6 N3'
_space_group_name_H-M_alt 'R -3 m'
_space_group_IT_number 166
_space_group_name_Hall '-R 3 2"'
_cell_length_a 3.7699
_cell_length_b 3.7699
_cell_length_c 29.6509
_cell_angle_alpha 90.00
_cell_angle_beta 90.00
_cell_angle_gamma 120.00
loop_
_atom_site_label
_atom_site_type_symbol
_atom_site_fract_x
_atom_site_fract_y
_atom_site_fract_z
Ac1 Ac 0.0000 0.0000 0.0000
La1 La 0.0000 0.0000 0.2142
N1 N 0.0000 0.0000 0.5000
```

Principal peaks in the range 15° ≤ 2θ ≤ 90°, by angle:
hkl 0 0 6, 2θ 17.95, I = 18.9; hkl 0 0 9, 2θ 27.07, I = 47.9; hkl 1 0 1, 2θ 27.48, I = 48.0; hkl 1 0 4, 2θ 29.90, I = 89.6; hkl 0 1 5, 2θ 31.27, I = 100.0; hkl 1 0 10, 2θ 41.12, I = 38.2; hkl 1 1 0, 2θ 48.28, I = 37.6; hkl 0 1 14, 2θ 51.43, I = 31.2; hkl 1 1 9, 2θ 56.22, I = 39.0; hkl 0 2 4, 2θ 57.84, I = 13.9; hkl 2 0 5, 2θ 58.66, I = 17.3; hkl 1 2 5, 2θ 79.30, I = 14.6

Simulated powder diffraction line list
Compound: Ho2Mg2Zr
Radiation: Cu Ka
Structure: a crystal structure in Alexandria, relaxed with PBE
Lines closer than 0.1° are merged.

Cell and atoms:
```
data_Ho2Mg2Zr
_chemical_formula_sum 'Ho4 Mg4 Zr2'
_space_group_name_H-M_alt 'I 4/m m m'
_space_group_IT_number 139
_space_group_name_Hall '-I 4 2'
_cell_length_a 3.3901
_cell_length_b 3.3901
_cell_length_c 22.8354
_cell_angle_alpha 90.00
_cell_angle_beta 90.00
_cell_angle_gamma 90.00
loop_
_atom_site_label
_atom_site_type_symbol
_atom_site_fract_x
_atom_site_fract_y
_atom_site_fract_z
Ho1 Ho 0.0000 0.0000 0.1005
Mg1 Mg 0.0000 0.0000 0.2934
Zr1 Zr 0.0000 0.0000 0.5000
```

Principal peaks in the range 15° ≤ 2θ ≤ 90°, by angle:
hkl 0 0 4, 2θ 15.52, I = 14.5; hkl 1 0 1, 2θ 26.58, I = 18.6; hkl 1 0 3, 2θ 28.83, I = 16.2; hkl 1 0 5, 2θ 32.90, I = 100.0; hkl 1 1 0, 2θ 37.52, I = 35.1; hkl 1 1 2, 2θ 38.33, I = 12.3; hkl 0 0 10, 2θ 39.46, I = 15.0; hkl 2 0 0, 2θ 54.10, I = 12.1; hkl 1 1 10, 2θ 55.58, I = 22.0; hkl 2 1 5, 2θ 64.79, I = 27.9; hkl 1 0 15, 2θ 67.44, I = 11.9; hkl 2 0 10, 2θ 69.00, I = 11.4